The following is a computed X-ray powder pattern of La2Nb2N2O5. It was derived from DFT lattice parameters and positions (PBE), using Cu Ka.
Lines closer than 0.1° are merged.

Principal peaks in the range 2θ from 15° to 90°, by angle:
2θ = 26.22°, d = 3.399 Å, rel. 54
2θ = 27.30°, d = 3.267 Å, rel. 52
2θ = 28.77°, d = 3.103 Å, rel. 100
2θ = 28.94°, d = 3.086 Å, rel. 81
2θ = 30.32°, d = 2.948 Å, rel. 40
2θ = 30.98°, d = 2.886 Å, rel. 74
2θ = 31.64°, d = 2.828 Å, rel. 56
2θ = 31.90°, d = 2.806 Å, rel. 49
2θ = 45.25°, d = 2.004 Å, rel. 56
2θ = 55.85°, d = 1.646 Å, rel. 43

Crystal structure
```
data_La2Nb2N2O5
_space_group_name_H-M_alt 'C 1 m 1'
_space_group_IT_number 8
_space_group_name_Hall 'C -2y'
_cell_length_a 27.1912
_cell_length_b 4.0077
_cell_length_c 5.7734
_cell_angle_alpha 90.00
_cell_angle_beta 90.86
_cell_angle_gamma 90.00
loop_
_atom_site_label
_atom_site_fract_x
_atom_site_fract_y
_atom_site_fract_z
La1 0.0000 0.0000 0.0000
La2 0.0748 0.5000 0.4954
La3 0.2350 0.5000 0.9307
La4 0.3388 0.5000 0.3941
Nb1 0.1293 0.0000 0.9519
Nb2 0.2235 0.0000 0.4372
Nb3 0.3446 0.0000 0.9034
Nb4 0.4479 0.0000 0.4469
N1 0.0025 0.5000 0.2421
N2 0.1698 0.0000 0.6347
N3 0.1920 0.0000 0.1212
N4 0.3751 0.0000 0.6141
O1 0.0654 0.0000 0.7283
O2 0.0815 0.0000 0.2108
O3 0.1293 0.5000 0.9159
O4 0.2414 0.5000 0.4224
O5 0.2720 0.0000 0.7356
O6 0.2964 0.0000 0.2229
O7 0.3288 0.5000 0.9208
O8 0.3966 0.0000 0.1285
O9 0.4349 0.5000 0.4116
O10 0.4881 0.0000 0.7226
```

The following is a computed X-ray powder pattern of Sb2H10C3NCl9. It was derived from DFT lattice parameters and positions (PBE), using Cu Ka.
Lines closer than 0.1° are merged.

Principal peaks in the range 2θ from 15° to 90°, by angle:
2θ = 15.03°, d = 5.895 Å, rel. 66
2θ = 15.33°, d = 5.781 Å, rel. 76
2θ = 16.41°, d = 5.403 Å, rel. 56
2θ = 19.25°, d = 4.612 Å, rel. 61
2θ = 19.54°, d = 4.543 Å, rel. 69
2θ = 20.78°, d = 4.274 Å, rel. 100
2θ = 23.08°, d = 3.854 Å, rel. 66
2θ = 24.41°, d = 3.646 Å, rel. 62
2θ = 28.47°, d = 3.135 Å, rel. 82
2θ = 31.48°, d = 2.842 Å, rel. 61

Crystal structure
```
data_Sb2H10C3NCl9
_space_group_name_H-M_alt 'P 1'
_space_group_IT_number 1
_space_group_name_Hall 'P 1'
_cell_length_a 10.0968
_cell_length_b 11.6059
_cell_length_c 11.8413
_cell_angle_alpha 85.91
_cell_angle_beta 86.34
_cell_angle_gamma 86.83
loop_
_atom_site_label
_atom_site_fract_x
_atom_site_fract_y
_atom_site_fract_z
Sb1 0.0000 0.0000 0.0000
Sb2 0.1013 0.0754 0.4588
Sb3 0.3755 0.1057 0.3948
Sb4 0.7296 0.0445 0.9192
H1 0.0029 0.6993 0.8502
H2 0.0079 0.3289 0.6133
H3 0.0442 0.9377 0.7386
H4 0.0917 0.2253 0.4029
H5 0.2075 0.6163 0.4814
H6 0.2092 0.4450 0.7316
H7 0.2216 0.4602 0.6692
H8 0.2642 0.3688 0.3535
H9 0.3993 0.7848 0.4496
H10 0.4022 0.0166 0.5150
H11 0.4135 0.3937 0.7052
H12 0.5514 0.7356 0.3689
H13 0.5580 0.8442 0.4706
H14 0.6505 0.2186 0.6619
H15 0.6936 0.6244 0.7794
H16 0.7319 0.4648 0.4495
H17 0.7424 0.4528 0.9472
H18 0.9511 0.4370 0.5334
H19 0.9653 0.7206 0.7994
H20 0.9756 0.9509 0.7663
C1 0.3114 0.4413 0.3006
C2 0.3505 0.7592 0.1529
C3 0.3838 0.5765 0.8939
C4 0.4971 0.8067 0.4111
C5 0.8367 0.4780 0.9802
C6 0.9399 0.8356 0.0707
N1 0.5032 0.4017 0.6573
N2 0.9242 0.3815 0.6018
Cl1 0.1920 0.1712 0.6175
Cl2 0.1993 0.7484 0.2092
Cl3 0.2078 0.8697 0.5753
Cl4 0.2240 0.5573 0.9520
Cl5 0.3820 0.3914 0.1799
Cl6 0.3861 0.7043 0.8125
Cl7 0.4529 0.4596 0.5321
Cl8 0.4701 0.9165 0.2964
Cl9 0.6018 0.1370 0.6098
Cl10 0.6124 0.1083 0.0856
Cl11 0.7708 0.2325 0.8330
Cl12 0.7855 0.8563 0.6089
Cl13 0.7935 0.5143 0.3617
Cl14 0.8041 0.7605 0.0673
Cl15 0.8199 0.7236 0.5091
Cl16 0.8645 0.3897 0.0964
Cl17 0.9186 0.4717 0.7155
Cl18 0.9973 0.0927 0.1789
```

The following is a computed X-ray powder pattern of K3Ta2Cu3Se8. It was derived from DFT lattice parameters and positions (PBE), using Cu Ka.
Lines closer than 0.1° are merged.

Principal peaks in the range 2θ from 15° to 90°, by angle:
2θ = 15.26°, d = 5.807 Å, rel. 84
2θ = 16.53°, d = 5.362 Å, rel. 46
2θ = 16.64°, d = 5.327 Å, rel. 54
2θ = 26.36°, d = 3.380 Å, rel. 33
2θ = 27.52°, d = 3.241 Å, rel. 58
2θ = 29.14°, d = 3.065 Å, rel. 100
2θ = 41.87°, d = 2.158 Å, rel. 41
2θ = 42.61°, d = 2.122 Å, rel. 35
2θ = 43.19°, d = 2.095 Å, rel. 67
2θ = 49.68°, d = 1.835 Å, rel. 42

Crystal structure
```
data_K3Ta2Cu3Se8
_space_group_name_H-M_alt 'C 1 2/c 1'
_space_group_IT_number 15
_space_group_name_Hall '-C 2yc'
_cell_length_a 24.6758
_cell_length_b 5.7387
_cell_length_c 15.1619
_cell_angle_alpha 90.00
_cell_angle_beta 120.29
_cell_angle_gamma 90.00
loop_
_atom_site_label
_atom_site_fract_x
_atom_site_fract_y
_atom_site_fract_z
K1 0.0000 0.0000 0.0000
K2 0.1915 0.4613 0.0945
Ta1 0.1246 0.2824 0.7794
Cu1 0.0000 0.2772 0.7500
Cu2 0.1229 0.2181 0.2809
Se1 0.0369 0.4765 0.1574
Se2 0.0902 0.0435 0.8759
Se3 0.1578 0.0303 0.6862
Se4 0.2113 0.4702 0.3927
```